Starting from a PBE+U-relaxed structure, the powder X-ray diffraction pattern of MgNi4O4F8 was simulated for Cu Kα X-rays.
Neutral-atom scattering factors, no anomalous dispersion.

Most intense lines, 10 to 90 degrees two-theta, low angle first:
Position (°2θ)	intensity
13.3	71
21.8	100
25.8	47
26.0	48
26.8	28
33.1	13
40.6	48
43.2	13
44.5	43
45.1	29

Crystal structure
```
data_MgNi4O4F8
_symmetry_space_group_name_H-M 'P 1'
_symmetry_Int_Tables_number 1
_cell_length_a 4.020
_cell_length_b 7.330
_cell_length_c 8.248
_cell_angle_alpha 65.39
_cell_angle_beta 88.63
_cell_angle_gamma 89.96
loop_
_symmetry_equiv_pos_as_xyz
'x,y,z'
loop_
_atom_site_label
_atom_site_type_symbol
_atom_site_fract_x
_atom_site_fract_y
_atom_site_fract_z
Mg1 Mg 0.000 0.000 0.000
Ni1 Ni 0.047 0.346 0.602
Ni2 Ni 0.471 0.969 0.299
Ni3 Ni 0.543 0.966 0.747
Ni4 Ni 0.983 0.354 0.126
O1 O 0.139 0.634 0.507
O2 O 0.390 0.677 0.386
O3 O 0.645 0.675 0.895
O4 O 0.889 0.654 0.010
F1 F 0.009 0.293 0.894
F2 F 0.016 0.330 0.370
F3 F 0.042 0.015 0.757
F4 F 0.489 0.272 0.154
F5 F 0.498 0.966 0.015
F6 F 0.540 0.270 0.646
F7 F 0.568 0.939 0.532
F8 F 0.979 0.006 0.233
```


Starting from a PBE+U-relaxed structure, the powder X-ray diffraction pattern of Rb2MgNi2W2O6F6 was simulated for Cu Kα X-rays.
Neutral-atom scattering factors, no anomalous dispersion.

Most intense lines, 10 to 90 degrees two-theta, low angle first:
Position (°2θ)	intensity
13.8	100
13.9	70
17.2	28
26.1	28
27.8	40
28.0	67
28.2	34
29.0	76
29.9	26
30.3	37

Crystal structure
```
data_Rb2MgNi2W2O6F6
_symmetry_space_group_name_H-M 'P 1'
_symmetry_Int_Tables_number 1
_cell_length_a 7.243
_cell_length_b 7.440
_cell_length_c 7.571
_cell_angle_alpha 62.67
_cell_angle_beta 64.62
_cell_angle_gamma 89.52
loop_
_symmetry_equiv_pos_as_xyz
'x,y,z'
loop_
_atom_site_label
_atom_site_type_symbol
_atom_site_fract_x
_atom_site_fract_y
_atom_site_fract_z
Rb1 Rb 0.000 0.000 0.000
Rb2 Rb 0.270 0.617 0.507
Mg1 Mg 0.459 0.188 0.072
Ni1 Ni 0.230 0.542 0.044
Ni2 Ni 0.675 0.933 0.602
W1 W 0.730 0.453 0.552
W2 W 0.733 0.470 0.058
O1 O 0.017 0.481 0.978
O2 O 0.436 0.429 0.128
O3 O 0.675 0.553 0.284
O4 O 0.697 0.712 0.534
O5 O 0.744 0.190 0.584
O6 O 0.763 0.353 0.843
F1 F 0.045 0.575 0.311
F2 F 0.220 0.978 0.252
F3 F 0.364 0.837 0.816
F4 F 0.411 0.324 0.800
F5 F 0.634 0.143 0.280
F6 F 0.787 0.779 0.835
```


Starting from a PBE+U-relaxed structure, the powder X-ray diffraction pattern of RbMgNiF6 was simulated for Cu Kα X-rays.
Neutral-atom scattering factors, no anomalous dispersion.

Most intense lines, 10 to 90 degrees two-theta, low angle first:
Position (°2θ)	intensity
24.4	33
24.6	23
28.5	100
28.7	24
28.8	85
30.2	20
45.4	21
46.0	26
50.1	55
59.1	21

Crystal structure
```
data_RbMgNiF6
_symmetry_space_group_name_H-M 'P 1'
_symmetry_Int_Tables_number 1
_cell_length_a 7.289
_cell_length_b 7.289
_cell_length_c 7.289
_cell_angle_alpha 120.51
_cell_angle_beta 119.25
_cell_angle_gamma 90.22
loop_
_symmetry_equiv_pos_as_xyz
'x,y,z'
loop_
_atom_site_label
_atom_site_type_symbol
_atom_site_fract_x
_atom_site_fract_y
_atom_site_fract_z
Rb1 Rb 0.372 0.122 0.250
Rb2 Rb 0.628 0.878 0.750
Mg1 Mg 0.000 0.000 0.500
Mg2 Mg 0.000 0.500 0.000
Ni1 Ni 0.000 0.500 0.500
Ni2 Ni 0.500 0.500 0.000
F1 F 0.071 0.434 0.261
F2 F 0.071 0.810 0.637
F3 F 0.072 0.822 0.250
F4 F 0.320 0.570 0.750
F5 F 0.327 0.190 0.761
F6 F 0.327 0.566 0.137
F7 F 0.673 0.434 0.863
F8 F 0.673 0.810 0.239
F9 F 0.680 0.430 0.250
F10 F 0.928 0.178 0.750
F11 F 0.929 0.190 0.363
F12 F 0.929 0.566 0.739
```


Starting from a PBE+U-relaxed structure, the powder X-ray diffraction pattern of MgV6O5F19 was simulated for Cu Kα X-rays.
Neutral-atom scattering factors, no anomalous dispersion.

Most intense lines, 10 to 90 degrees two-theta, low angle first:
Position (°2θ)	intensity
17.2	100
24.2	54
24.3	43
25.3	89
32.8	11
34.8	16
46.2	14
48.7	15
49.8	10
53.3	9

Crystal structure
```
data_MgV6O5F19
_symmetry_space_group_name_H-M 'P 1'
_symmetry_Int_Tables_number 1
_cell_length_a 5.371
_cell_length_b 5.471
_cell_length_c 15.697
_cell_angle_alpha 80.44
_cell_angle_beta 89.71
_cell_angle_gamma 87.16
loop_
_symmetry_equiv_pos_as_xyz
'x,y,z'
loop_
_atom_site_label
_atom_site_type_symbol
_atom_site_fract_x
_atom_site_fract_y
_atom_site_fract_z
Mg1 Mg 0.000 0.000 0.000
V1 V 0.262 0.345 0.837
V2 V 0.323 0.055 0.507
V3 V 0.354 0.690 0.185
V4 V 0.733 0.861 0.833
V5 V 0.783 0.182 0.193
V6 V 0.816 0.555 0.520
O1 O 0.487 0.079 0.822
O2 O 0.508 0.419 0.168
O3 O 0.537 0.249 0.481
O4 O 0.570 0.901 0.166
O5 O 0.982 0.768 0.546
F1 F 0.036 0.606 0.868
F2 F 0.066 0.279 0.544
F3 F 0.071 0.948 0.201
F4 F 0.158 0.057 0.410
F5 F 0.158 0.408 0.730
F6 F 0.200 0.749 0.071
F7 F 0.280 0.231 0.957
F8 F 0.347 0.627 0.299
F9 F 0.376 0.940 0.619
F10 F 0.512 0.757 0.484
F11 F 0.530 0.565 0.830
F12 F 0.666 0.432 0.618
F13 F 0.700 0.090 0.301
F14 F 0.729 0.818 0.960
F15 F 0.846 0.219 0.069
F16 F 0.854 0.855 0.728
F17 F 0.880 0.556 0.409
F18 F 0.980 0.107 0.861
F19 F 0.992 0.435 0.202
```